Starting from a DFT-relaxed cell (PBE, Alexandria), the powder diffraction line list of PdSBr was computed for λ = 1.5418 Å (Cu Kα).

Most intense lines, 2θ from 15° to 90°, in order of rising 2θ:
d_spacing	Position (°2θ)	intensity
5.252	16.88	61
4.407	20.15	100
2.853	31.36	37
2.829	31.62	22
2.482	36.19	61
2.473	36.33	37
1.954	46.46	22
1.946	46.67	23

Cell and atoms:
```
PdSBr
1.0
5.8105 -1.7468 0.0000
5.8105 1.7468 0.0000
-4.1279 0.0000 8.7199
Pd S Br
2 2 2
Cartesian
1.5986 0.0000 1.3475
5.8945 0.0000 7.3724
4.7523 0.0000 0.0816
2.7408 0.0000 8.6382
-0.6001 0.0000 5.7152
8.0932 0.0000 3.0047
```

***

Starting from a DFT-relaxed cell (PBE, Alexandria), the powder diffraction line list of TiNbGe was computed for λ = 1.5418 Å (Cu Kα).

Most intense lines, 2θ from 15° to 90°, in order of rising 2θ:
d_spacing	Position (°2θ)	intensity
2.304	39.10	100
2.235	40.36	18
2.159	41.85	22
1.985	45.71	9
1.718	53.34	11
1.553	59.54	12
1.344	70.00	9
1.272	74.58	14

Cell and atoms:
```
TiNbGe
1.0
4.3174 0.0000 0.0000
0.0000 1.7177 6.7045
0.0000 -1.7177 6.7045
Ti Nb Ge
2 2 2
Cartesian
0.0000 0.0000 0.0000
2.1587 0.0000 2.5111
0.0000 0.0000 4.3685
2.1587 0.0000 6.9628
0.0000 0.0000 8.8113
2.1587 0.0000 11.5570
```